Computed powder XRD pattern
Compound: BaAgO2
Radiation: Cu Kα
Structure: a GGA-PBE-relaxed structure
Neutral-atom scattering factors, no anomalous dispersion.

Cell and atoms:
a b c (Å): 3.9332 17.6036 4.4018
angles (deg): 90.00 90.00 90.00
Space group Cmcm (No. 63)
Unique sites:
Ba: 0.0000 0.1680 0.2500 [4 per cell]
Ag: 0.0000 0.4372 0.2500 [4 per cell]
O: 0.0000 0.3171 0.2500 [4 per cell]
O: 0.0000 0.4413 0.7500 [4 per cell]

Most intense lines, 2θ from 15° to 90°, by intensity:
index	2θ (°)	I (rel.)
1 1 1	30.91	100
0 4 1	28.68	82
1 3 0	27.30	67
0 0 2	41.01	50
1 5 0	34.18	33
1 7 1	47.63	32
2 0 0	46.15	31
2 0 2	63.43	28
2 4 1	55.25	27
1 3 2	49.96	25